Theoretical powder XRD pattern of CoPO4 for Cu Kα X-rays, from a cell relaxed with GGA+U.
No peak broadening, texture or thermal motion is included.

Largest 10 diffraction maxima, low angle first, 10 to 90 degrees two-theta:
two_theta, d (Å), intensity
22.79, 3.902, 100.0
28.94, 3.086, 8.2
29.61, 3.017, 15.6
33.20, 2.698, 32.4
36.74, 2.446, 24.3
39.38, 2.288, 11.7
43.19, 2.095, 10.1
50.77, 1.798, 9.5
56.93, 1.617, 11.7
63.93, 1.456, 15.1

Atomic structure:
```
data_CoPO4
_symmetry_space_group_name_H-M 'C 2 2 21'
_symmetry_Int_Tables_number 20
_symmetry_space_group_name_Hall 'C 2c 2'
_cell_length_a 6.8216
_cell_length_b 7.0217
_cell_length_c 6.4690
_cell_angle_alpha 90.00
_cell_angle_beta 90.00
_cell_angle_gamma 90.00
loop_
_atom_site_label
_atom_site_fract_x
_atom_site_fract_y
_atom_site_fract_z
Co1 0.1644 0.0000 0.0000
P1 0.0000 0.3317 0.2500
O1 0.0084 0.2097 0.0506
O2 0.1857 0.4570 0.2659
```